(1)
# Li3TiMn2O6
Calculated XRD peak list, Cu Kα (λ = 1.5418 Å). Input: DFT lattice parameters and positions (GGA+U).

Structural model:
a = 2.9389 Å, b = 5.9475 Å, c = 7.1146 Å
α = 78.63°, β = 78.29°, γ = 89.68°
Space group P1 (No. 1)
One atom of each set of equivalent atoms:
Li1 0.0000 0.0000 0.0000
Li2 0.3133 0.6413 0.3696
Li3 0.6522 0.3104 0.6902
Ti1 0.6464 0.8157 0.6972
Mn1 0.3210 0.1465 0.3415
Mn2 0.9917 0.4671 0.0222
O1 0.1557 0.0452 0.6793
O2 0.1654 0.5979 0.6671
O3 0.4929 0.2242 0.0175
O4 0.5158 0.7446 0.9677
O5 0.8034 0.9141 0.3704
O6 0.8212 0.3732 0.3501

Main lines, sorted by position (2θ from 10° to 90°):
| (hkl) | Position (°2θ) | I/Imax |
| --- | --- | --- |
| 0 1 1 | 17.9 | 1000 |
| 0 1 -2 | 33.0 | 164 |
| 1 1 0 | 35.3 | 135 |
| 1 -1 1 | 35.5 | 130 |
| 0 0 3 | 39.6 | 334 |
| 1 2 1 | 43.2 | 267 |
| 1 -2 0 | 43.4 | 261 |
| 1 2 4 | 60.4 | 153 |

---

(2)
# Li9Mn2Co5O16
Calculated XRD peak list, Cu Kα (λ = 1.5418 Å). Input: DFT lattice parameters and positions (GGA+U).

Structural model:
a = 2.9884 Å, b = 9.9036 Å, c = 10.0090 Å
α = 78.17°, β = 87.80°, γ = 87.72°
Space group P1 (No. 1)
One atom of each set of equivalent atoms:
Li1 0.0000 0.0000 0.0000
Li2 0.0011 0.0028 0.4939
Li3 0.0090 0.2608 0.6214
Li4 0.4841 0.0063 0.7389
Li5 0.4936 0.0020 0.2474
Li6 0.4945 0.4887 0.5026
Li7 0.5049 0.5029 0.0004
Li8 0.9798 0.4956 0.7390
Li9 0.9974 0.4987 0.2478
Mn1 0.0033 0.7513 0.8702
Mn2 0.4833 0.2508 0.8661
Co1 0.4780 0.7512 0.6194
Co2 0.5028 0.7492 0.1247
Co3 0.5039 0.2496 0.3810
Co4 0.9805 0.2463 0.1237
Co5 0.9859 0.7502 0.3732
O1 0.0045 0.1419 0.8178
O2 0.0172 0.6326 0.0543
O3 0.0205 0.8688 0.6856
O4 0.0368 0.3648 0.4260
O5 0.4539 0.1373 0.0572
O6 0.4626 0.6369 0.8002
O7 0.4722 0.8629 0.4392
O8 0.4960 0.1349 0.5382
O9 0.4959 0.3688 0.6989
O10 0.5038 0.6347 0.3031
O11 0.5226 0.3571 0.1926
O12 0.5413 0.8676 0.9427
O13 0.9466 0.6367 0.5545
O14 0.9663 0.1391 0.3041
O15 0.9674 0.3542 0.9368
O16 0.9867 0.8654 0.1917

Main lines, sorted by position (2θ from 10° to 90°):
| (hkl) | Position (°2θ) | I/Imax |
| --- | --- | --- |
| 0 2 0 | 18.3 | 1000 |
| 1 1 2 | 34.7 | 191 |
| -1 1 2 | 36.2 | 131 |
| 0 0 4 | 36.7 | 112 |
| 1 3 2 | 41.7 | 323 |
| -1 3 2 | 43.9 | 267 |
| 0 2 -4 | 44.8 | 248 |
| -1 1 6 | 65.1 | 87 |

---

(3)
# Li2VOF4
Calculated XRD peak list, Cu Kα (λ = 1.5418 Å). Input: DFT lattice parameters and positions (GGA+U).

Structural model:
a = 5.0481 Å, b = 7.2200 Å, c = 10.3461 Å
α = 71.03°, β = 89.78°, γ = 88.86°
Space group P1 (No. 1)
One atom of each set of equivalent atoms:
Li1 0.0000 0.0000 0.0000
Li2 0.0027 0.2234 0.6531
Li3 0.0196 0.7545 0.6540
Li4 0.0388 0.4876 0.9514
Li5 0.5263 0.4898 0.4590
Li6 0.5430 0.2561 0.1746
Li7 0.5593 0.7392 0.1557
Li8 0.5679 0.0109 0.5001
V1 0.0228 0.4058 0.3077
V2 0.0670 0.9059 0.3124
V3 0.5002 0.8553 0.8238
V4 0.5180 0.3442 0.8135
O1 0.1954 0.1220 0.3135
O2 0.2464 0.7381 0.9124
O3 0.3863 0.1263 0.8134
O4 0.8827 0.6243 0.3031
F1 0.1958 0.3357 0.4864
F2 0.2208 0.5080 0.7326
F3 0.2412 0.8965 0.1467
F4 0.3311 0.7297 0.4182
F5 0.3327 0.9064 0.6427
F6 0.3626 0.4926 0.2250
F7 0.3852 0.3376 0.9907
F8 0.6954 0.4033 0.6367
F9 0.6985 0.6117 0.8100
F10 0.7199 0.2524 0.3984
F11 0.7284 0.8353 0.9810
F12 0.7617 0.0091 0.1957
F13 0.8088 0.9825 0.6982
F14 0.8506 0.8447 0.4756
F15 0.8592 0.2499 0.8978
F16 0.8806 0.4058 0.1333

Main lines, sorted by position (2θ from 10° to 90°):
| (hkl) | Position (°2θ) | I/Imax |
| --- | --- | --- |
| 0 0 2 | 18.1 | 704 |
| 1 0 -1 | 19.8 | 1000 |
| 0 2 0 | 26.1 | 385 |
| 0 2 2 | 26.5 | 218 |
| 1 2 1 | 30.2 | 179 |
| 1 0 3 | 32.7 | 280 |
| 1 1 4 | 39.1 | 188 |
| -1 1 4 | 39.2 | 174 |